No. 1
For In5Pb4, a cell relaxed with PBE gives the theoretical powder XRD pattern in this record (Cu Kα (λ = 1.5418 Å)).
No peak broadening, texture or thermal motion is included.

Most intense lines, 2θ = 15–90°, by angle:
2θ/deg  I (rel.)
31.69  100.0
36.31  34.8
37.63  15.8
52.29  12.2
53.29  23.1
62.44  28.5
64.23  13.2
66.19  12.0
85.74  6.1
87.33  11.9

Structural model:
a b c (Å): 7.798 7.798 7.798
angles (deg): 95.39 95.39 144.30
Fractional coordinates of all 9 atoms:
In 0.000 0.000 0.000
In 0.335 0.335 0.671
In 0.335 0.665 0.000
In 0.665 0.335 0.000
In 0.665 0.665 0.329
Pb 0.000 0.329 0.329
Pb 0.000 0.671 0.671
Pb 0.329 0.000 0.329
Pb 0.671 0.000 0.671

=====

No. 2
For In6Pb, a cell relaxed with PBE gives the theoretical powder XRD pattern in this record (Cu Kα (λ = 1.5418 Å)).
No peak broadening, texture or thermal motion is included.

Most intense lines, 2θ = 15–90°, by angle:
2θ/deg  I (rel.)
31.08  14.1
32.65  100.0
33.51  73.2
37.94  10.4
47.48  23.2
52.55  6.3
58.27  18.9
58.81  24.3
68.41  11.1
78.36  11.4

Structural model:
a b c (Å): 8.448 8.448 8.448
angles (deg): 118.39 118.39 118.39
Fractional coordinates of all 7 atoms:
In 0.107 0.812 0.248
In 0.188 0.752 0.893
In 0.248 0.107 0.812
In 0.752 0.893 0.188
In 0.812 0.248 0.107
In 0.893 0.188 0.752
Pb 0.500 0.500 0.500

=====

No. 3
For In3Pd3Pb, a cell relaxed with PBE gives the theoretical powder XRD pattern in this record (Cu Kα (λ = 1.5418 Å)).
No peak broadening, texture or thermal motion is included.

Most intense lines, 2θ = 15–90°, by angle:
2θ/deg  I (rel.)
24.24  41.9
29.81  100.0
42.66  14.8
46.26  59.9
49.67  25.2
56.01  16.9
59.00  14.5
70.21  17.2
72.87  15.8
80.66  17.9

Structural model:
a b c (Å): 7.343 7.343 7.343
angles (deg): 90.00 90.00 90.00
Fractional coordinates of all 14 atoms:
In 0.000 0.250 0.500
In 0.000 0.750 0.500
In 0.250 0.500 0.000
In 0.500 0.000 0.250
In 0.500 0.000 0.750
In 0.750 0.500 0.000
Pd 0.000 0.500 0.250
Pd 0.000 0.500 0.750
Pd 0.250 0.000 0.500
Pd 0.500 0.250 0.000
Pd 0.500 0.750 0.000
Pd 0.750 0.000 0.500
Pb 0.000 0.000 0.000
Pb 0.500 0.500 0.500

=====

No. 4
For In2Pd5Pb, a cell relaxed with PBE gives the theoretical powder XRD pattern in this record (Cu Kα (λ = 1.5418 Å)).
No peak broadening, texture or thermal motion is included.

Most intense lines, 2θ = 15–90°, by angle:
2θ/deg  I (rel.)
38.35  100.0
38.54  98.9
39.31  94.8
54.17  17.3
56.53  16.2
57.09  15.7
68.95  33.2
70.51  32.6
70.88  32.2
84.56  10.4

Structural model:
a b c (Å): 7.515 7.502 4.584
angles (deg): 72.38 72.08 35.55
Fractional coordinates of all 8 atoms:
In 0.242 0.242 0.758
In 0.758 0.758 0.242
Pd 0.000 0.000 0.000
Pd 0.130 0.130 0.370
Pd 0.370 0.370 0.130
Pd 0.630 0.630 0.870
Pd 0.870 0.870 0.630
Pb 0.500 0.500 0.500

=====

No. 5
For In2Pd3Pb2, a cell relaxed with PBE gives the theoretical powder XRD pattern in this record (Cu Kα (λ = 1.5418 Å)).
No peak broadening, texture or thermal motion is included.

Most intense lines, 2θ = 15–90°, by angle:
2θ/deg  I (rel.)
20.20  13.9
26.35  13.5
36.51  27.7
37.87  100.0
38.68  23.6
54.24  17.7
66.61  18.9
67.86  8.9
69.47  16.7
80.94  11.0

Structural model:
a b c (Å): 4.656 4.922 7.483
angles (deg): 70.82 71.90 89.98
Fractional coordinates of all 7 atoms:
In 0.122 0.122 0.256
In 0.878 0.878 0.744
Pd 0.252 0.753 0.995
Pd 0.500 0.000 0.500
Pd 0.748 0.247 0.005
Pb 0.376 0.376 0.748
Pb 0.624 0.624 0.252

=====

No. 6
For Pm6In6Pb, a cell relaxed with PBE gives the theoretical powder XRD pattern in this record (Cu Kα (λ = 1.5418 Å)).
No peak broadening, texture or thermal motion is included.

Most intense lines, 2θ = 15–90°, by angle:
2θ/deg  I (rel.)
27.49  70.9
29.53  31.8
31.85  55.2
32.21  82.5
33.28  48.4
36.06  100.0
43.69  22.2
56.75  41.0
58.80  30.9
67.40  39.3

Structural model:
a b c (Å): 6.489 6.489 10.769
angles (deg): 90.00 90.00 120.00
Fractional coordinates of all 13 atoms:
Pm 0.000 0.000 0.197
Pm 0.000 0.000 0.803
Pm 0.333 0.667 0.000
Pm 0.333 0.667 0.500
Pm 0.667 0.333 0.000
Pm 0.667 0.333 0.500
In 0.000 0.500 0.247
In 0.000 0.500 0.753
In 0.500 0.000 0.247
In 0.500 0.000 0.753
In 0.500 0.500 0.247
In 0.500 0.500 0.753
Pb 0.000 0.000 0.500

=====

No. 7
For Pm2InPb2, a cell relaxed with PBE gives the theoretical powder XRD pattern in this record (Cu Kα (λ = 1.5418 Å)).
No peak broadening, texture or thermal motion is included.

Most intense lines, 2θ = 15–90°, by angle:
2θ/deg  I (rel.)
15.39  8.3
29.39  13.7
31.42  100.0
34.84  32.0
39.47  17.2
40.21  8.1
50.34  9.3
53.65  18.7
64.97  13.4
66.60  11.9

Structural model:
a b c (Å): 8.143 8.143 9.132
angles (deg): 90.00 90.00 90.00
Fractional coordinates of all 20 atoms:
Pm 0.173 0.326 0.000
Pm 0.174 0.327 0.500
Pm 0.326 0.827 0.000
Pm 0.327 0.826 0.500
Pm 0.673 0.174 0.500
Pm 0.674 0.173 0.000
Pm 0.826 0.673 0.500
Pm 0.827 0.674 0.000
In 0.000 0.000 0.251
In 0.000 0.000 0.749
In 0.500 0.500 0.249
In 0.500 0.500 0.751
Pb 0.133 0.633 0.250
Pb 0.133 0.633 0.750
Pb 0.367 0.133 0.250
Pb 0.367 0.133 0.750
Pb 0.633 0.867 0.250
Pb 0.633 0.867 0.750
Pb 0.867 0.367 0.250
Pb 0.867 0.367 0.750

=====

No. 8
For Pm2InPb4, a cell relaxed with PBE gives the theoretical powder XRD pattern in this record (Cu Kα (λ = 1.5418 Å)).
No peak broadening, texture or thermal motion is included.

Most intense lines, 2θ = 15–90°, by angle:
2θ/deg  I (rel.)
32.57  100.0
36.50  18.6
38.16  16.7
38.65  15.1
53.84  12.4
54.21  11.4
63.23  14.9
65.46  13.7
66.12  11.7
68.22  11.5

Structural model:
a b c (Å): 6.778 6.778 4.717
angles (deg): 90.00 90.00 93.15
Fractional coordinates of all 7 atoms:
Pm 0.242 0.758 0.000
Pm 0.758 0.242 0.000
In 0.000 0.000 0.500
Pb 0.000 0.500 0.500
Pb 0.267 0.267 0.000
Pb 0.500 0.000 0.500
Pb 0.733 0.733 0.000

=====

No. 9
For Pm3In2Pb, a cell relaxed with PBE gives the theoretical powder XRD pattern in this record (Cu Kα (λ = 1.5418 Å)).
No peak broadening, texture or thermal motion is included.

Most intense lines, 2θ = 15–90°, by angle:
2θ/deg  I (rel.)
31.99  100.0
35.22  19.2
35.39  19.1
40.50  13.2
50.79  13.6
54.73  10.8
61.19  15.3
61.41  15.4
66.88  11.8
68.34  11.2

Structural model:
a b c (Å): 8.054 8.054 4.455
angles (deg): 90.00 90.00 143.29
Fractional coordinates of all 6 atoms:
Pm 0.000 0.000 0.000
Pm 0.333 0.667 0.000
Pm 0.667 0.333 0.000
In 0.171 0.829 0.500
In 0.829 0.171 0.500
Pb 0.500 0.500 0.500

=====

No. 10
For Pm2In2Rh5Pb, a cell relaxed with PBE gives the theoretical powder XRD pattern in this record (Cu Kα (λ = 1.5418 Å)).
No peak broadening, texture or thermal motion is included.

Most intense lines, 2θ = 15–90°, by angle:
2θ/deg  I (rel.)
27.55  10.3
34.21  22.4
36.18  27.9
36.46  100.0
37.26  8.8
39.36  15.5
39.62  25.2
47.87  19.0
61.44  11.8
81.61  10.3

Structural model:
a b c (Å): 10.237 10.237 3.801
angles (deg): 90.00 90.00 90.00
Fractional coordinates of all 20 atoms:
Pm 0.172 0.328 0.000
Pm 0.328 0.828 0.000
Pm 0.672 0.172 0.000
Pm 0.828 0.672 0.000
In 0.126 0.626 0.000
In 0.374 0.126 0.000
In 0.626 0.874 0.000
In 0.874 0.374 0.000
Rh 0.000 0.500 0.500
Rh 0.064 0.799 0.500
Rh 0.201 0.064 0.500
Rh 0.299 0.564 0.500
Rh 0.436 0.299 0.500
Rh 0.500 0.000 0.500
Rh 0.564 0.701 0.500
Rh 0.701 0.436 0.500
Rh 0.799 0.936 0.500
Rh 0.936 0.201 0.500
Pb 0.000 0.000 0.000
Pb 0.500 0.500 0.000

=====

Copy entry 1 word for word.
For In5Pb4, a cell relaxed with PBE gives the theoretical powder XRD pattern in this record (Cu Kα (λ = 1.5418 Å)).
No peak broadening, texture or thermal motion is included.

Most intense lines, 2θ = 15–90°, by angle:
2θ/deg  I (rel.)
31.69  100.0
36.31  34.8
37.63  15.8
52.29  12.2
53.29  23.1
62.44  28.5
64.23  13.2
66.19  12.0
85.74  6.1
87.33  11.9

Structural model:
a b c (Å): 7.798 7.798 7.798
angles (deg): 95.39 95.39 144.30
Fractional coordinates of all 9 atoms:
In 0.000 0.000 0.000
In 0.335 0.335 0.671
In 0.335 0.665 0.000
In 0.665 0.335 0.000
In 0.665 0.665 0.329
Pb 0.000 0.329 0.329
Pb 0.000 0.671 0.671
Pb 0.329 0.000 0.329
Pb 0.671 0.000 0.671